Starting from a DFT-relaxed cell (PBE+U, Alexandria), the XRD peak list of CrFe2AsO6 was computed for Cu Kα, 1.54184 Å.

Principal peaks in the range 15 to 90 degrees two-theta, in order of falling intensity:
(1 0 -1), 33.2°, 2.698 Å, intensity 100
(1 1 2), 33.3°, 2.690 Å, intensity 50
(2 2 0), 48.9°, 1.862 Å, intensity 47
(1 -1 0), 34.6°, 2.591 Å, intensity 45
(1 2 1), 34.7°, 2.583 Å, intensity 44
(1 2 -1), 54.0°, 1.697 Å, intensity 42

Lattice parameters (Å, degrees): 5.146 5.166 5.391 61.54 61.71 60.33
Fractional positions:
Cr: 0.000 0.000 0.000
Fe: 0.213 0.207 0.365
Fe: 0.720 0.713 0.854
As: 0.504 0.502 0.492
O: 0.149 0.760 0.702
O: 0.301 0.628 0.211
O: 0.380 0.154 0.695
O: 0.628 0.863 0.226
O: 0.757 0.384 0.707
O: 0.867 0.284 0.226